1.
Diffraction record for DyMgNi5. The powder X-ray diffraction pattern is computed, not measured: it uses DFT lattice parameters and positions (PBE) and Cu Ka.
Neutral-atom scattering factors, no anomalous dispersion.

Cell and atoms:
Cell lengths 8.029, 4.812, 10.203 Å; angles 90.00, 90.00, 90.00 degrees
Space group Pnma (No. 62)
Unique sites:
1 Dy 0.249 0.250 0.059
2 Mg 0.136 0.750 0.861
3 Ni 0.047 0.750 0.105
4 Ni 0.069 0.002 0.311
5 Ni 0.084 0.250 0.516
6 Ni 0.188 0.250 0.741

Top 6 peaks for 2θ from 10° to 80°, low angle first:
| 2θ (°) | intensity |
| --- | --- |
| 23.25 | 21 |
| 36.98 | 24 |
| 39.49 | 100 |
| 41.49 | 16 |
| 47.66 | 17 |
| 68.83 | 18 |



2.
Diffraction record for Dy2MgPtO5. The powder X-ray diffraction pattern is computed, not measured: it uses DFT lattice parameters and positions (PBE) and Cu Ka.
Neutral-atom scattering factors, no anomalous dispersion.

Cell and atoms:
Cell lengths 6.440, 6.440, 5.812 Å; angles 90.00, 90.00, 90.00 degrees
Space group P4/mbm (No. 127)
Unique sites:
1 Dy 0.173 0.327 0.000
2 Mg 0.000 0.000 0.500
3 Pt 0.000 0.500 0.500
4 O 0.000 0.000 0.000
5 O 0.147 0.647 0.245

Top 6 peaks for 2θ from 10° to 80°, low angle first:
| 2θ (°) | intensity |
| --- | --- |
| 19.49 | 67 |
| 30.77 | 44 |
| 31.77 | 100 |
| 34.76 | 58 |
| 44.28 | 43 |
| 47.30 | 50 |



3.
Diffraction record for DyMgP2Rh5. The powder X-ray diffraction pattern is computed, not measured: it uses DFT lattice parameters and positions (PBE) and Cu Ka.
Neutral-atom scattering factors, no anomalous dispersion.

Cell and atoms:
Cell lengths 4.114, 4.114, 9.502 Å; angles 90.00, 90.00, 90.00 degrees
Space group P4/mmm (No. 123)
Unique sites:
1 Dy 0.000 0.000 0.000
2 Mg 0.000 0.000 0.500
3 P 0.500 0.500 0.236
4 Rh 0.000 0.500 0.331
5 Rh 0.500 0.500 0.000

Top 6 peaks for 2θ from 10° to 80°, low angle first:
| 2θ (°) | intensity |
| --- | --- |
| 28.18 | 73 |
| 32.18 | 100 |
| 36.21 | 74 |
| 44.02 | 62 |
| 49.54 | 41 |
| 53.09 | 49 |



4.
Diffraction record for Dy3MgPb5. The powder X-ray diffraction pattern is computed, not measured: it uses DFT lattice parameters and positions (PBE) and Cu Ka.
Neutral-atom scattering factors, no anomalous dispersion.

Cell and atoms:
Cell lengths 9.4490, 9.4490, 6.4838 Å; angles 90.00, 90.00, 120.00 degrees
Space group P6_3/mcm (No. 193)
Unique sites:
1 Dy 0.0000 0.3776 0.2500
2 Mg 0.0000 0.0000 0.0000
3 Pb 0.0000 0.2836 0.7500
4 Pb 0.3333 0.6667 0.0000

Top 6 peaks for 2θ from 10° to 80°, low angle first:
| 2θ (°) | intensity |
| --- | --- |
| 32.06 | 52 |
| 32.83 | 96 |
| 33.52 | 100 |
| 47.63 | 30 |
| 59.05 | 27 |
| 67.18 | 25 |